Record 1
This entry pairs a crystal structure of Na10B17C3 with its simulated powder X-ray diffraction pattern. Radiation: λ = 1.5418 Å (Cu Kα). Structure: a crystal structure in Alexandria, relaxed with PBE.
Lines closer than 0.1° are merged.

Largest 10 diffraction maxima, in order of falling intensity, 10 to 90 degrees two-theta:
2θ/deg, I (rel.), h k l
40.96, 100, 1 0 10
41.97, 24, 0 0 20
34.99, 20, 1 0 0
62.75, 18, 1 1 0
78.38, 17, 1 1 20
75.99, 12, 1 0 30
77.70, 12, 2 0 10
55.75, 10, 1 0 20
73.91, 2, 2 0 0
88.82, 2, 2 0 20

```
data_Na10B17C3
_chemical_formula_sum 'Na10 B17 C3'
_symmetry_space_group_name_H-M 'P -6 m 2'
_symmetry_Int_Tables_number 187
_symmetry_space_group_name_Hall 'P -6 2'
_cell_length_a 2.9614
_cell_length_b 2.9614
_cell_length_c 43.0543
_cell_angle_alpha 90.00
_cell_angle_beta 90.00
_cell_angle_gamma 120.00
loop_
_atom_site_label
_atom_site_fract_x
_atom_site_fract_y
_atom_site_fract_z
Na1 0.0000 0.0000 0.0491
Na2 0.0000 0.0000 0.1501
Na3 0.0000 0.0000 0.2511
Na4 0.0000 0.0000 0.3490
Na5 0.0000 0.0000 0.4495
B1 0.3333 0.6667 0.0995
B2 0.3333 0.6667 0.2007
B3 0.3333 0.6667 0.3001
B4 0.3333 0.6667 0.3993
B5 0.3333 0.6667 0.5000
B6 0.6667 0.3333 0.0000
B7 0.6667 0.3333 0.0995
B8 0.6667 0.3333 0.2007
B9 0.6667 0.3333 0.3993
B10 0.6667 0.3333 0.5000
C1 0.3333 0.6667 0.0000
C2 0.6667 0.3333 0.3001
```

Record 2
This entry pairs a crystal structure of Na10B17C3 with its simulated powder X-ray diffraction pattern. Radiation: λ = 1.5418 Å (Cu Kα). Structure: a crystal structure in Alexandria, relaxed with PBE.
Lines closer than 0.1° are merged.

Largest 10 diffraction maxima, in order of falling intensity, 10 to 90 degrees two-theta:
2θ/deg, I (rel.), h k l
41.74, 100, 2 1 5
39.59, 50, 2 0 10
41.59, 37, 4 0 0
61.55, 18, 0 1 15
77.04, 17, 4 1 15
35.99, 17, 0 1 5
33.53, 14, 0 0 10
75.99, 13, 6 1 5
56.14, 10, 4 1 5
80.00, 9, 2 2 10

```
data_Na10B17C3
_chemical_formula_sum 'Na20 B34 C6'
_symmetry_space_group_name_H-M 'A m m 2'
_symmetry_Int_Tables_number 38
_symmetry_space_group_name_Hall 'A 2 -2'
_cell_length_a 8.6867
_cell_length_b 2.8221
_cell_length_c 26.7265
_cell_angle_alpha 90.00
_cell_angle_beta 90.00
_cell_angle_gamma 90.00
loop_
_atom_site_label
_atom_site_fract_x
_atom_site_fract_y
_atom_site_fract_z
Na1 0.2475 0.0000 0.0000
Na2 0.2493 0.0000 0.5986
Na3 0.2501 0.0000 0.3991
Na4 0.2505 0.0000 0.7975
Na5 0.2529 0.0000 0.1974
B1 0.0000 0.0000 0.0709
B2 0.0000 0.0000 0.1361
B3 0.0000 0.0000 0.2635
B4 0.0000 0.0000 0.3258
B5 0.0000 0.0000 0.4692
B6 0.0000 0.0000 0.5330
B7 0.0000 0.0000 0.7240
B8 0.0000 0.0000 0.8668
B9 0.0000 0.0000 0.9294
B10 0.5000 0.0000 0.0659
B11 0.5000 0.0000 0.2647
B12 0.5000 0.0000 0.3287
B13 0.5000 0.0000 0.4765
B14 0.5000 0.0000 0.6572
B15 0.5000 0.0000 0.7243
B16 0.5000 0.0000 0.8719
B17 0.5000 0.0000 0.9348
C1 0.0000 0.0000 0.6655
C2 0.5000 0.0000 0.1269
C3 0.5000 0.0000 0.5351
```

Record 3
This entry pairs a crystal structure of Na5B9C with its simulated powder X-ray diffraction pattern. Radiation: λ = 1.5418 Å (Cu Kα). Structure: a crystal structure in Alexandria, relaxed with PBE.
Lines closer than 0.1° are merged.

Largest 10 diffraction maxima, in order of falling intensity, 10 to 90 degrees two-theta:
2θ/deg, I (rel.), h k l
41.74, 100, 1 5 2
39.01, 50, 0 10 2
41.32, 37, 0 0 4
60.86, 19, 1 15 0
76.23, 18, 1 15 4
36.06, 16, 1 5 0
32.94, 16, 0 10 0
75.63, 13, 1 5 6
55.99, 9, 1 5 4
80.14, 9, 2 10 2

```
data_Na5B9C
_chemical_formula_sum 'Na20 B36 C4'
_symmetry_space_group_name_H-M 'C m c m'
_symmetry_Int_Tables_number 63
_symmetry_space_group_name_Hall '-C 2c 2'
_cell_length_a 2.8014
_cell_length_b 27.1948
_cell_length_c 8.7401
_cell_angle_alpha 90.00
_cell_angle_beta 90.00
_cell_angle_gamma 90.00
loop_
_atom_site_label
_atom_site_fract_x
_atom_site_fract_y
_atom_site_fract_z
Na1 0.0000 0.0000 0.0000
Na2 0.0000 0.1997 0.0000
Na3 0.0000 0.4009 0.0018
B1 0.0000 0.0667 0.7500
B2 0.0000 0.1250 0.2500
B3 0.0000 0.1289 0.7500
B4 0.0000 0.2684 0.2500
B5 0.0000 0.2728 0.7500
B6 0.0000 0.3302 0.2500
B7 0.0000 0.3343 0.7500
B8 0.0000 0.4623 0.7500
B9 0.0000 0.4735 0.2500
C1 0.0000 0.0678 0.2500
```

Record 4
This entry pairs a crystal structure of Na5B9C with its simulated powder X-ray diffraction pattern. Radiation: λ = 1.5418 Å (Cu Kα). Structure: a crystal structure in Alexandria, relaxed with PBE.
Lines closer than 0.1° are merged.

Largest 10 diffraction maxima, in order of falling intensity, 10 to 90 degrees two-theta:
2θ/deg, I (rel.), h k l
41.69, 100, 5 1 0
41.70, 100, 3 1 -4
39.05, 99, 6 0 2
41.36, 74, 8 0 -4
76.26, 39, 11 1 2
60.86, 37, 3 1 6
35.99, 33, 1 1 2
32.97, 31, 2 0 4
75.65, 27, 13 1 -4
55.97, 19, 9 1 -2

```
data_Na5B9C
_chemical_formula_sum 'Na20 B36 C4'
_symmetry_space_group_name_H-M 'C 1 2/m 1'
_symmetry_Int_Tables_number 12
_symmetry_space_group_name_Hall '-C 2y'
_cell_length_a 18.2920
_cell_length_b 2.8091
_cell_length_c 13.9364
_cell_angle_alpha 90.00
_cell_angle_beta 111.48
_cell_angle_gamma 90.00
loop_
_atom_site_label
_atom_site_fract_x
_atom_site_fract_y
_atom_site_fract_z
Na1 0.0000 0.0000 0.0000
Na2 0.0000 0.0000 0.5000
Na3 0.0997 0.5000 0.1985
Na4 0.0998 0.5000 0.7012
Na5 0.1993 0.0000 0.3983
Na6 0.2003 0.0000 0.9001
B1 0.0269 0.0000 0.3029
B2 0.0372 0.0000 0.8260
B3 0.0667 0.5000 0.3827
B4 0.1251 0.5000 0.0010
B5 0.1289 0.5000 0.5074
B6 0.1657 0.0000 0.0813
B7 0.1693 0.0000 0.5895
B8 0.2279 0.0000 0.2046
B9 0.2307 0.0000 0.7135
C1 0.0674 0.5000 0.8866
```

Record 5
This entry pairs a crystal structure of Na5B8C2 with its simulated powder X-ray diffraction pattern. Radiation: λ = 1.5418 Å (Cu Kα). Structure: a crystal structure in Alexandria, relaxed with PBE.
Lines closer than 0.1° are merged.

Largest 10 diffraction maxima, in order of falling intensity, 10 to 90 degrees two-theta:
2θ/deg, I (rel.), h k l
41.24, 100, 1 3 3
41.18, 99, 1 -2 1
41.83, 49, 0 0 4
35.31, 38, 2 1 0
75.96, 25, 1 3 -5
63.34, 23, 3 4 1
78.82, 22, 3 4 5
55.86, 21, 2 1 -4
63.46, 11, 0 5 2
78.93, 11, 0 5 6

```
data_Na5B8C2
_chemical_formula_sum 'Na10 B16 C4'
_symmetry_space_group_name_H-M 'P 1'
_symmetry_Int_Tables_number 1
_symmetry_space_group_name_Hall 'P 1'
_cell_length_a 5.0895
_cell_length_b 7.7580
_cell_length_c 9.1188
_cell_angle_alpha 72.37
_cell_angle_beta 89.99
_cell_angle_gamma 70.87
loop_
_atom_site_label
_atom_site_fract_x
_atom_site_fract_y
_atom_site_fract_z
Na1 0.0000 0.0000 0.0000
Na2 0.0958 0.8020 0.4966
Na3 0.1966 0.6005 0.0012
Na4 0.2954 0.4032 0.4963
Na5 0.3966 0.2018 0.0010
Na6 0.4988 0.0040 0.4973
Na7 0.6004 0.8010 0.0024
Na8 0.6959 0.6036 0.4938
Na9 0.7971 0.3998 0.0013
Na10 0.9002 0.2005 0.4973
B1 0.0060 0.2983 0.7483
B2 0.0853 0.5014 0.7488
B3 0.0980 0.1114 0.2484
B4 0.2282 0.9058 0.7484
B5 0.2842 0.1109 0.7481
B6 0.2934 0.7014 0.2497
B7 0.3837 0.9035 0.2495
B8 0.4750 0.6832 0.7486
B9 0.5075 0.2924 0.2480
B10 0.5856 0.4995 0.2486
B11 0.6317 0.0969 0.7489
B12 0.6563 0.3199 0.7488
B13 0.7253 0.9033 0.2489
B14 0.8026 0.7054 0.7489
B15 0.8937 0.8927 0.7489
B16 0.9266 0.5001 0.2488
C1 0.1814 0.3021 0.2480
C2 0.4015 0.5016 0.7490
C3 0.7819 0.1016 0.2480
C4 0.9850 0.7013 0.2496
```

Record 6
This entry pairs a crystal structure of Na10B17C3 with its simulated powder X-ray diffraction pattern. Radiation: λ = 1.5418 Å (Cu Kα). Structure: a crystal structure in Alexandria, relaxed with PBE.
Lines closer than 0.1° are merged.

Largest 10 diffraction maxima, in order of falling intensity, 10 to 90 degrees two-theta:
2θ/deg, I (rel.), h k l
41.22, 100, 2 -1 2
40.98, 100, 1 -3 3
40.66, 99, 1 2 1
41.69, 73, 0 0 4
34.72, 21, 1 2 -1
77.87, 20, 0 5 -6
35.09, 19, 1 -3 1
35.37, 18, 2 -1 0
62.30, 18, 0 5 -2
62.83, 17, 3 1 -1

```
data_Na10B17C3
_chemical_formula_sum 'Na10 B17 C3'
_symmetry_space_group_name_H-M 'P 1'
_symmetry_Int_Tables_number 1
_symmetry_space_group_name_Hall 'P 1'
_cell_length_a 5.0764
_cell_length_b 7.8443
_cell_length_c 9.1609
_cell_angle_alpha 107.89
_cell_angle_beta 90.19
_cell_angle_gamma 108.20
loop_
_atom_site_label
_atom_site_fract_x
_atom_site_fract_y
_atom_site_fract_z
Na1 0.0000 0.0000 0.0000
Na2 0.0963 0.1993 0.4965
Na3 0.1942 0.3992 0.9972
Na4 0.2984 0.5990 0.4972
Na5 0.3978 0.7999 0.9990
Na6 0.4967 0.9980 0.4964
Na7 0.5988 0.1989 0.9990
Na8 0.6954 0.3976 0.4972
Na9 0.7932 0.5973 0.9965
Na10 0.8974 0.7982 0.4975
B1 0.0397 0.7165 0.7472
B2 0.0647 0.4959 0.7480
B3 0.1085 0.8978 0.2477
B4 0.1793 0.6864 0.2480
B5 0.2188 0.0805 0.7476
B6 0.3236 0.3037 0.2470
B7 0.3716 0.0934 0.2473
B8 0.4148 0.5067 0.7484
B9 0.4643 0.3000 0.7487
B10 0.5961 0.5105 0.2477
B11 0.6109 0.8975 0.7469
B12 0.6854 0.6954 0.7474
B13 0.7246 0.1036 0.2473
B14 0.7532 0.8797 0.2476
B15 0.8066 0.2933 0.7482
B16 0.8858 0.1018 0.7476
B17 0.9788 0.3135 0.2477
C1 0.2900 0.8982 0.7465
C2 0.5067 0.6954 0.2481
C3 0.9150 0.5036 0.2483
```

Record 7
This entry pairs a crystal structure of Na10B13C7 with its simulated powder X-ray diffraction pattern. Radiation: λ = 1.5418 Å (Cu Kα). Structure: a crystal structure in Alexandria, relaxed with PBE.
Lines closer than 0.1° are merged.

Largest 10 diffraction maxima, in order of falling intensity, 10 to 90 degrees two-theta:
2θ/deg, I (rel.), h k l
42.04, 100, 1 3 3
41.81, 51, 2 1 2
42.43, 38, 0 0 4
80.34, 28, 3 4 5
36.08, 18, 1 3 1
64.54, 17, 3 4 1
77.35, 12, 1 3 7
56.88, 10, 1 3 5
35.82, 9, 2 1 0
65.05, 9, 0 5 2

```
data_Na10B13C7
_chemical_formula_sum 'Na10 B13 C7'
_symmetry_space_group_name_H-M 'P 1'
_symmetry_Int_Tables_number 1
_symmetry_space_group_name_Hall 'P 1'
_cell_length_a 5.0140
_cell_length_b 7.5949
_cell_length_c 8.9915
_cell_angle_alpha 72.48
_cell_angle_beta 89.99
_cell_angle_gamma 70.73
loop_
_atom_site_label
_atom_site_fract_x
_atom_site_fract_y
_atom_site_fract_z
Na1 0.0000 0.0000 0.0000
Na2 0.0979 0.8015 0.4983
Na3 0.1994 0.5995 0.0017
Na4 0.2981 0.4021 0.4961
Na5 0.3994 0.1995 0.0018
Na6 0.4990 0.0023 0.4965
Na7 0.5998 0.8004 0.9999
Na8 0.7004 0.5994 0.5000
Na9 0.8010 0.4000 0.0003
Na10 0.9006 0.2009 0.4961
B1 0.0290 0.2988 0.7490
B2 0.1649 0.3007 0.2490
B3 0.2015 0.9092 0.7497
B4 0.3825 0.9009 0.2491
B5 0.3941 0.5006 0.7481
B6 0.4870 0.7016 0.7487
B7 0.5171 0.3006 0.2492
B8 0.5794 0.5122 0.2488
B9 0.6104 0.0912 0.7499
B10 0.6882 0.2994 0.7492
B11 0.7908 0.0893 0.2493
B12 0.8273 0.7020 0.7489
B13 0.9827 0.7003 0.2490
C1 0.0851 0.5009 0.7479
C2 0.1172 0.0981 0.2492
C3 0.2842 0.1001 0.7499
C4 0.3175 0.7065 0.2487
C5 0.7233 0.8949 0.2493
C6 0.8841 0.9003 0.7498
C7 0.9147 0.5032 0.2489
```

Record 8
This entry pairs a crystal structure of Na5B8C2 with its simulated powder X-ray diffraction pattern. Radiation: λ = 1.5418 Å (Cu Kα). Structure: a crystal structure in Alexandria, relaxed with PBE.
Lines closer than 0.1° are merged.

Largest 10 diffraction maxima, in order of falling intensity, 10 to 90 degrees two-theta:
2θ/deg, I (rel.), h k l
41.42, 100, 1 2 -3
40.77, 49, 1 2 2
41.85, 37, 0 4 0
35.55, 18, 2 0 -1
76.13, 13, 1 6 -3
34.81, 11, 1 0 2
62.80, 9, 0 0 5
62.97, 9, 3 0 1
78.35, 9, 0 4 5
78.50, 8, 3 4 1

```
data_Na5B8C2
_chemical_formula_sum 'Na10 B16 C4'
_symmetry_space_group_name_H-M 'P 1 21/m 1'
_symmetry_Int_Tables_number 11
_symmetry_space_group_name_Hall '-P 2yb'
_cell_length_a 5.0456
_cell_length_b 8.6349
_cell_length_c 7.7651
_cell_angle_alpha 90.00
_cell_angle_beta 107.69
_cell_angle_gamma 90.00
loop_
_atom_site_label
_atom_site_fract_x
_atom_site_fract_y
_atom_site_fract_z
Na1 0.0000 0.0000 0.0000
Na2 0.2016 0.0014 0.3999
Na3 0.3966 0.5027 0.7988
B1 0.0738 0.7500 0.8069
B2 0.1213 0.7500 0.5945
B3 0.1497 0.2500 0.6118
B4 0.2682 0.7500 0.2121
B5 0.2779 0.2500 0.2058
B6 0.3054 0.2500 0.9803
B7 0.3400 0.7500 0.0005
B8 0.4658 0.7500 0.5858
C1 0.0591 0.2500 0.7965
C2 0.4690 0.2500 0.6047
```

Record 9
This entry pairs a crystal structure of Na5B8C2 with its simulated powder X-ray diffraction pattern. Radiation: λ = 1.5418 Å (Cu Kα). Structure: a crystal structure in Alexandria, relaxed with PBE.
Lines closer than 0.1° are merged.

Largest 10 diffraction maxima, in order of falling intensity, 10 to 90 degrees two-theta:
2θ/deg, I (rel.), h k l
41.80, 100, 8 0 -4
40.15, 18, 6 0 2
40.05, 18, 2 0 -6
62.25, 13, 3 1 6
36.02, 12, 1 1 2
34.06, 10, 2 0 4
76.34, 6, 13 1 -4
77.88, 6, 11 1 2
77.68, 6, 5 1 -10
81.22, 6, 8 2 -4

```
data_Na5B8C2
_chemical_formula_sum 'Na20 B32 C8'
_symmetry_space_group_name_H-M 'C 1 m 1'
_symmetry_Int_Tables_number 8
_symmetry_space_group_name_Hall 'C -2y'
_cell_length_a 18.0752
_cell_length_b 2.8307
_cell_length_c 13.6458
_cell_angle_alpha 90.00
_cell_angle_beta 112.58
_cell_angle_gamma 90.00
loop_
_atom_site_label
_atom_site_fract_x
_atom_site_fract_y
_atom_site_fract_z
Na1 0.0000 0.0000 0.0000
Na2 0.9996 0.0000 0.4929
Na3 0.0989 0.5000 0.6950
Na4 0.1008 0.5000 0.1986
Na5 0.1985 0.0000 0.3951
Na6 0.1991 0.0000 0.8992
Na7 0.2964 0.5000 0.5938
Na8 0.2992 0.5000 0.0995
Na9 0.3980 0.0000 0.2964
Na10 0.3988 0.0000 0.7973
B1 0.0287 0.0000 0.8064
B2 0.0619 0.5000 0.3713
B3 0.0722 0.5000 0.8945
B4 0.1278 0.5000 0.5018
B5 0.1403 0.5000 0.0314
B6 0.1648 0.0000 0.5764
B7 0.2286 0.0000 0.7051
B8 0.2348 0.0000 0.2195
B9 0.2675 0.5000 0.7844
B10 0.3291 0.5000 0.4058
B11 0.3295 0.5000 0.9102
B12 0.3705 0.0000 0.9923
B13 0.4208 0.0000 0.5889
B14 0.4334 0.0000 0.1172
B15 0.4645 0.5000 0.6774
B16 0.4730 0.5000 0.1954
C1 0.0324 0.0000 0.3130
C2 0.1715 0.0000 0.0940
C3 0.2665 0.5000 0.2822
C4 0.3616 0.0000 0.4697
```